Theoretical powder diffractogram
Compound: Li3VCrP2H2O10
Radiation: copper Kα
Structure: a crystal structure in Alexandria, relaxed with PBE+U
Intensities are scaled so that the largest is 100.

Top 10 peaks for 10 to 90 degrees two-theta, most intense first:
2θ (°)	intensity	index
11.4	100	0 0 1
18.2	96	1 0 -1
17.5	68	1 0 0
30.0	53	0 1 2
24.8	46	1 1 -1
36.9	35	1 -2 1
16.0	33	0 1 0
18.4	30	0 1 -1
26.3	29	0 1 -2
22.2	28	1 -1 0

Cell and atoms:
```
data_Li3VCrP2H2O10
_symmetry_space_group_name_H-M 'P 1'
_symmetry_Int_Tables_number 1
_symmetry_space_group_name_Hall 'P 1'
_cell_length_a 5.2889
_cell_length_b 5.6048
_cell_length_c 8.0609
_cell_angle_alpha 96.15
_cell_angle_beta 104.55
_cell_angle_gamma 95.56
loop_
_atom_site_label
_atom_site_type_symbol
_atom_site_fract_x
_atom_site_fract_y
_atom_site_fract_z
Li1 Li 0.0000 0.0000 0.0000
Li2 Li 0.2475 0.9265 0.3679
Li3 Li 0.6320 0.3521 0.9569
V1 V 0.7818 0.7136 0.5577
Cr1 Cr 0.2691 0.4525 0.2145
P1 P 0.1014 0.2450 0.7569
P2 P 0.7673 0.1915 0.3153
H1 H 0.7786 0.7667 0.1978
H2 H 0.9830 0.5790 0.8853
O1 O 0.0712 0.7156 0.1010
O2 O 0.2584 0.2829 0.9573
O3 O 0.4326 0.6674 0.4453
O4 O 0.4655 0.1651 0.2922
O5 O 0.7791 0.6826 0.0813
O6 O 0.8432 0.2016 0.1422
O7 O 0.8771 0.9599 0.3872
O8 O 0.8889 0.4761 0.7724
O9 O 0.8945 0.0070 0.7456
O10 O 0.8975 0.4293 0.4338
```